GaAs3: simulated X-ray powder pattern (Cu Ka), based on a DFT-relaxed cell (PBE, the Materials Project).
Peak positions follow from Bragg's law for the DFT cell and can differ from measured ones.

Top 4 peaks for 2θ from 15° to 90°, in order of falling intensity:
Position (°2θ)  d/Å  Rel. int.  index
37.91  2.373  100  2 2 0
68.48  1.370  34  4 2 2
54.70  1.678  17  4 0 0
81.03  1.187  11  4 4 0

a b c (Å): 6.7126 6.7126 6.7126
angles (deg): 90.00 90.00 90.00
Space group Fm-3m (No. 225)
Symmetry-distinct sites (fractional):
Ga (0.0000, 0.0000, 0.0000)
As (0.0000, 0.0000, 0.5000)
As (0.2500, 0.2500, 0.2500)



GaAs: simulated X-ray powder pattern (Cu Ka), based on a DFT-relaxed cell (PBE, the Materials Project).
Peak positions follow from Bragg's law for the DFT cell and can differ from measured ones.

Top 10 peaks for 2θ from 15° to 90°, in order of falling intensity:
Position (°2θ)  d/Å  Rel. int.  index
31.06  2.879  100  2 1 1
48.28  1.885  77  3 1 2
84.72  1.144  22  5 2 3
25.25  3.527  19  2 0 0
51.85  1.763  18  4 0 0
73.55  1.288  11  5 2 1
67.74  1.383  10  4 3 1
76.39  1.247  8  4 4 0
55.26  1.662  7  4 1 1
61.68  1.504  5  3 3 2

a b c (Å): 7.0531 7.0531 7.0531
angles (deg): 90.00 90.00 90.00
Space group Pa-3 (No. 205)
Symmetry-distinct sites (fractional):
Ga (0.1584, 0.1584, 0.1584)
As (0.1410, 0.6410, 0.8590)



GaAs: simulated X-ray powder pattern (Cu Ka), based on a DFT-relaxed cell (PBE, the Materials Project).
Peak positions follow from Bragg's law for the DFT cell and can differ from measured ones.

Top 10 peaks for 2θ from 15° to 90°, in order of falling intensity:
Position (°2θ)  d/Å  Rel. int.  index
35.23  2.547  100  1 0 1
49.82  1.830  73  1 2 1
34.07  2.632  69  0 2 0
36.25  2.478  58  2 0 0
50.59  1.804  44  2 2 0
34.68  2.586  27  0 1 1
68.31  1.373  23  1 1 2
75.04  1.266  21  3 2 1
51.04  1.789  18  2 1 1
64.55  1.444  16  3 0 1

a b c (Å): 4.9561 5.2634 2.9697
angles (deg): 90.00 90.00 90.00
Space group Imm2 (No. 44)
Symmetry-distinct sites (fractional):
Ga (0.0000, 0.0000, 0.0000)
As (0.0000, 0.5000, 0.8504)



GaAs: simulated X-ray powder pattern (Cu Ka), based on a DFT-relaxed cell (PBE, the Materials Project).
Peak positions follow from Bragg's law for the DFT cell and can differ from measured ones.

Top 10 peaks for 2θ from 15° to 90°, in order of falling intensity:
Position (°2θ)  d/Å  Rel. int.  index
35.45  2.532  100  1 0 1
50.51  1.807  72  1 2 1
34.72  2.584  53  0 2 0
34.85  2.574  52  2 0 0
50.02  1.824  37  2 2 0
69.63  1.350  27  1 1 2
73.83  1.284  22  3 2 1
62.88  1.478  9  3 0 1
62.70  1.482  9  0 3 1
84.13  1.151  8  1 4 1

a b c (Å): 5.1487 5.1673 2.9070
angles (deg): 90.00 90.00 90.00
Space group Imm2 (No. 44)
Symmetry-distinct sites (fractional):
Ga (0.0000, 0.0000, 0.0000)
As (0.0000, 0.5000, 0.7557)



KGaAs3H7O13: simulated X-ray powder pattern (Cu Ka), based on a DFT-relaxed cell (PBE, the Materials Project).
Peak positions follow from Bragg's law for the DFT cell and can differ from measured ones.

Top 10 peaks for 2θ from 15° to 90°, in order of falling intensity:
Position (°2θ)  d/Å  Rel. int.  index
27.89  3.199  100  1 2 -1
33.01  2.713  94  1 2 2
27.72  3.218  93  1 0 -4
25.66  3.471  75  1 0 2
16.11  5.502  58  0 1 2
29.62  3.015  52  1 1 -4
27.15  3.284  51  0 1 4
21.34  4.164  49  0 2 1
28.95  3.085  42  1 2 -2
49.06  1.857  33  0 4 4

a b c (Å): 4.7126 8.7221 14.6409
angles (deg): 90.00 104.40 90.00
Space group Pc (No. 7)
Symmetry-distinct sites (fractional):
K (0.0000, 0.0068, 0.0000)
Ga (0.8883, 0.2297, 0.7637)
As (0.2864, 0.3433, 0.6183)
As (0.3871, 0.0265, 0.2638)
As (0.4917, 0.3538, 0.9084)
H (0.0291, 0.4104, 0.3012)
H (0.0626, 0.2213, 0.2040)
H (0.3297, 0.3259, 0.0427)
H (0.4561, 0.3346, 0.4847)
H (0.7081, 0.2234, 0.3219)
H (0.7431, 0.4088, 0.2243)
H (0.9266, 0.4979, 0.0273)
O (0.0417, 0.2197, 0.6470)
O (0.1218, 0.4793, 0.0809)
O (0.1650, 0.0631, 0.8231)
O (0.1750, 0.3933, 0.8230)
O (0.1838, 0.1487, 0.1757)
O (0.3487, 0.2575, 0.5165)
O (0.4146, 0.2519, 0.0050)
O (0.5950, 0.0700, 0.7029)
O (0.5990, 0.1458, 0.3517)
O (0.6007, 0.3937, 0.6996)
O (0.6518, 0.4775, 0.4529)
O (0.7262, 0.2266, 0.8767)
O (0.8852, 0.3363, 0.2632)